1.
Computed powder XRD pattern
Compound: MgGa4Ag6
Radiation: Cu Kα
Structure: a structure optimized by DFT (PBE)

The 6 most intense peaks (15 to 90 degrees two-theta), low angle first:
index	two_theta	d [Å]	I/Imax
1 1 0	20.1	4.425	24
2 0 1	38.5	2.341	100
2 2 0	40.8	2.213	97
2 1 1	43.8	2.069	31
4 0 1	57.3	1.608	26
2 2 2	77.7	1.229	27

Structure:
a = 8.8503 Å, b = 8.8503 Å, c = 2.9563 Å
α = 90.00°, β = 90.00°, γ = 120.00°
Space group P-6m2 (No. 187)
Asymmetric unit:
Mg: 0.0000 0.0000 0.0000 (multiplicity 1)
Ga: 0.3333 0.6667 0.0000 (multiplicity 1)
Ga: 0.3667 0.1833 0.5000 (multiplicity 3)
Ag: 0.1705 0.3410 0.5000 (multiplicity 3)
Ag: 0.5138 0.0276 0.0000 (multiplicity 3)



2.
Computed powder XRD pattern
Compound: CsNbSbH2
Radiation: Cu Kα
Structure: a structure optimized by DFT (PBE)

The 6 most intense peaks (15 to 90 degrees two-theta), low angle first:
index	two_theta	d [Å]	I/Imax
0 0 4	22.9	3.876	23
1 0 3	30.5	2.927	100
1 1 0	35.8	2.511	43
1 1 4	42.9	2.108	18
1 0 7	48.4	1.879	28
2 1 3	61.0	1.518	27

Structure:
a = 3.551 Å, b = 3.551 Å, c = 15.505 Å
α = 90.00°, β = 90.00°, γ = 90.00°
Space group I4mm (No. 107)
Asymmetric unit:
Cs: 0.000 0.000 0.000 (multiplicity 2)
Nb: 0.000 0.000 0.283 (multiplicity 2)
Sb: 0.000 0.000 0.688 (multiplicity 2)
H: 0.000 0.500 0.345 (multiplicity 4)



3.
Computed powder XRD pattern
Compound: UHgBr5
Radiation: Cu Kα
Structure: a structure optimized by DFT (PBE)

The 6 most intense peaks (15 to 90 degrees two-theta), low angle first:
index	two_theta	d [Å]	I/Imax
0 2 0	16.9	5.242	28
1 1 -2	19.0	4.664	100
2 2 0	22.3	3.987	36
4 0 -2	27.4	3.256	31
4 2 0	33.8	2.650	31
3 3 -2	34.0	2.636	30

Structure:
a = 13.450 Å, b = 10.484 Å, c = 10.418 Å
α = 90.00°, β = 114.03°, γ = 90.00°
Space group C2/c (No. 15)
Asymmetric unit:
U: 0.000 0.000 0.000 (multiplicity 4)
Hg: 0.000 0.486 0.250 (multiplicity 4)
Br: 0.000 0.114 0.250 (multiplicity 4)
Br: 0.098 0.209 0.970 (multiplicity 8)
Br: 0.192 0.106 0.644 (multiplicity 8)



4.
Computed powder XRD pattern
Compound: Sm2Zn16Pt
Radiation: Cu Kα
Structure: a structure optimized by DFT (PBE)

The 6 most intense peaks (15 to 90 degrees two-theta), low angle first:
index	two_theta	d [Å]	I/Imax
3 0 0	34.5	2.601	61
0 2 4	35.6	2.523	44
2 2 0	40.0	2.253	90
0 3 3	40.3	2.241	100
0 0 6	41.0	2.203	61
2 2 3	45.2	2.006	42

Structure:
a = 9.0114 Å, b = 9.0114 Å, c = 13.2284 Å
α = 90.00°, β = 90.00°, γ = 120.00°
Space group R3m (No. 160, hexagonal axes)
Asymmetric unit:
Sm: 0.0000 0.0000 0.0000 (multiplicity 3)
Sm: 0.0000 0.0000 0.3287 (multiplicity 3)
Zn: 0.0000 0.0000 0.5655 (multiplicity 3)
Zn: 0.0002 0.2909 0.6676 (multiplicity 18)
Zn: 0.0102 0.5051 0.8181 (multiplicity 9)
Zn: 0.1679 0.3358 0.5005 (multiplicity 9)
Zn: 0.1690 0.3381 0.8471 (multiplicity 9)
Pt: 0.0000 0.0000 0.7669 (multiplicity 3)



5.
Computed powder XRD pattern
Compound: K2H3Pt
Radiation: Cu Kα
Structure: a structure optimized by DFT (PBE)

The 6 most intense peaks (15 to 90 degrees two-theta), low angle first:
index	two_theta	d [Å]	I/Imax
0 1 1	20.5	4.325	67
0 1 3	29.1	3.072	100
1 1 0	31.2	2.865	93
1 0 3	32.8	2.733	71
1 1 2	34.5	2.599	59
1 2 3	51.8	1.763	38

Structure:
a = 3.654 Å, b = 4.617 Å, c = 12.348 Å
α = 90.00°, β = 90.00°, γ = 90.00°
Space group Immm (No. 71)
Asymmetric unit:
K: 0.000 0.000 0.137 (multiplicity 4)
H: 0.000 0.000 0.364 (multiplicity 4)
H: 0.000 0.500 0.000 (multiplicity 2)
Pt: 0.000 0.000 0.500 (multiplicity 2)



6.
Computed powder XRD pattern
Compound: K2CaTe
Radiation: Cu Kα
Structure: a structure optimized by DFT (PBE)

The 6 most intense peaks (15 to 90 degrees two-theta), low angle first:
index	two_theta	d [Å]	I/Imax
0 0 2	16.1	5.511	30
1 0 2	26.7	3.333	100
1 1 0	30.2	2.960	62
1 0 3	32.4	2.761	48
1 1 3	39.1	2.303	37
2 1 2	51.6	1.773	30

Structure:
a = 4.186 Å, b = 4.186 Å, c = 11.021 Å
α = 90.00°, β = 90.00°, γ = 90.00°
Space group P4mm (No. 99)
Asymmetric unit:
K: 0.000 0.000 0.000 (multiplicity 1)
K: 0.500 0.500 0.351 (multiplicity 1)
Ca: 0.500 0.500 0.689 (multiplicity 1)
Te: 0.000 0.000 0.579 (multiplicity 1)



7.
Computed powder XRD pattern
Compound: Ac3DyHo
Radiation: Cu Kα
Structure: a structure optimized by DFT (PBE)

The 6 most intense peaks (15 to 90 degrees two-theta), low angle first:
index	two_theta	d [Å]	I/Imax
1 2 1	24.4	3.652	33
1 1 3	26.2	3.407	100
2 1 0	29.1	3.070	57
0 3 1	29.4	3.035	62
1 2 3	31.0	2.881	83
1 1 4	31.7	2.818	51

Structure:
a = 6.500 Å, b = 9.352 Å, c = 13.276 Å
α = 90.00°, β = 90.00°, γ = 90.00°
Space group Pnna (No. 52)
Asymmetric unit:
Ac: 0.088 0.173 0.073 (multiplicity 8)
Ac: 0.143 0.250 0.750 (multiplicity 4)
Dy: 0.250 0.000 0.306 (multiplicity 4)
Ho: 0.250 0.000 0.556 (multiplicity 4)



8.
Computed powder XRD pattern
Compound: TbHI3
Radiation: Cu Kα
Structure: a structure optimized by DFT (PBE)

The 6 most intense peaks (15 to 90 degrees two-theta), low angle first:
index	two_theta	d [Å]	I/Imax
0 2 2	25.7	3.469	63
2 1 -3	27.2	3.277	81
1 1 3	28.0	3.192	86
1 2 2	29.7	3.005	64
2 2 -2	31.4	2.847	100
2 2 2	37.1	2.423	74

Structure:
a = 8.341 Å, b = 8.086 Å, c = 14.234 Å
α = 90.00°, β = 108.32°, γ = 90.00°
Space group P2/c (No. 13)
Asymmetric unit:
Tb: 0.000 0.250 0.085 (multiplicity 4)
H: 0.045 0.207 0.767 (multiplicity 4)
I: 0.240 0.462 0.572 (multiplicity 4)
I: 0.241 0.037 0.017 (multiplicity 4)
I: 0.250 0.251 0.296 (multiplicity 4)



9.
Computed powder XRD pattern
Compound: NaPaTeO2
Radiation: Cu Kα
Structure: a structure optimized by DFT (PBE)

The 6 most intense peaks (15 to 90 degrees two-theta), low angle first:
index	two_theta	d [Å]	I/Imax
1 0 1	23.7	3.753	38
1 0 3	31.0	2.889	100
1 1 0	32.2	2.776	38
2 0 0	46.3	1.963	20
1 1 6	54.2	1.692	22
2 1 3	56.7	1.624	37

Structure:
a = 3.926 Å, b = 3.926 Å, c = 12.800 Å
α = 90.00°, β = 90.00°, γ = 90.00°
Space group I4mm (No. 107)
Asymmetric unit:
Na: 0.000 0.000 0.000 (multiplicity 2)
Pa: 0.000 0.000 0.318 (multiplicity 2)
Te: 0.000 0.000 0.666 (multiplicity 2)
O: 0.000 0.500 0.387 (multiplicity 4)



10.
Computed powder XRD pattern
Compound: Cs2ZrTeO6
Radiation: Cu Kα
Structure: a structure optimized by DFT (PBE)

The 6 most intense peaks (15 to 90 degrees two-theta), low angle first:
index	two_theta	d [Å]	I/Imax
1 0 7	26.8	3.329	38
1 1 0	28.6	3.124	100
0 1 8	29.3	3.051	38
0 2 7	39.6	2.278	24
3 0 0	50.6	1.804	20
1 1 15	55.1	1.666	19

Structure:
a = 6.2483 Å, b = 6.2483 Å, c = 29.5529 Å
α = 90.00°, β = 90.00°, γ = 120.00°
Space group R-3m (No. 166, hexagonal axes)
Asymmetric unit:
Cs: 0.0000 0.0000 0.1325 (multiplicity 6)
Cs: 0.0000 0.0000 0.2768 (multiplicity 6)
Zr: 0.0000 0.0000 0.4014 (multiplicity 6)
Te: 0.0000 0.0000 0.0000 (multiplicity 3)
Te: 0.0000 0.0000 0.5000 (multiplicity 3)
O: 0.0221 0.5111 0.7034 (multiplicity 18)
O: 0.0590 0.5295 0.1232 (multiplicity 18)



11.
Computed powder XRD pattern
Compound: Tl2GaSnTe5
Radiation: Cu Kα
Structure: a structure optimized by DFT (PBE)

The 6 most intense peaks (15 to 90 degrees two-theta), low angle first:
index	two_theta	d [Å]	I/Imax
0 6 1	26.8	3.330	49
1 3 2	28.1	3.173	21
1 1 3	29.1	3.070	100
1 5 0	30.5	2.929	26
1 5 2	33.2	2.700	38
2 0 0	43.4	2.085	25

Structure:
a = 4.170 Å, b = 20.574 Å, c = 13.942 Å
α = 90.00°, β = 90.00°, γ = 90.00°
Space group Cmc2_1 (No. 36)
Asymmetric unit:
Tl: 0.000 0.109 0.000 (multiplicity 4)
Tl: 0.000 0.124 0.641 (multiplicity 4)
Ga: 0.000 0.440 0.762 (multiplicity 4)
Sn: 0.000 0.212 0.360 (multiplicity 4)
Te: 0.000 0.050 0.380 (multiplicity 4)
Te: 0.000 0.284 0.011 (multiplicity 4)
Te: 0.000 0.314 0.709 (multiplicity 4)
Te: 0.000 0.351 0.318 (multiplicity 4)
Te: 0.000 0.493 0.103 (multiplicity 4)